# 1
# Li7Co5O12
Theoretical XRD peak list, Cu Kα X-rays. Input: a structure optimized by DFT (PBE+U).
Kinematic intensities with the Lorentz-polarization factor, no thermal factor.

a b c (Å): 5.760 2.852 12.376
angles (deg): 90.00 102.53 90.00
Space group P2/m (No. 10)
Inequivalent atoms, fractional coordinates:
Li 0.000 0.000 0.000 x1
Li 0.000 0.500 0.500 x1
Li 0.169 0.000 0.334 x2
Li 0.320 0.500 0.155 x2
Li 0.500 0.000 0.000 x1
Co 0.165 0.500 0.837 x2
Co 0.334 0.000 0.667 x2
Co 0.500 0.500 0.500 x1
O 0.055 0.000 0.169 x2
O 0.112 0.500 0.675 x2
O 0.246 0.500 0.985 x2
O 0.275 0.000 0.507 x2
O 0.389 0.000 0.826 x2
O 0.443 0.500 0.340 x2

Peak list (10 most intense, 2θ from 10° to 90°, sorted by position)
hkl 1 0 1, 18.8°, rel. 100.0
hkl 1 1 -2, 37.0°, rel. 24.7
hkl 1 0 -5, 37.2°, rel. 12.6
hkl 2 0 -4, 38.7°, rel. 10.4
hkl 2 1 -1, 44.7°, rel. 51.6
hkl 0 0 6, 45.0°, rel. 24.9
hkl 3 0 -3, 49.0°, rel. 11.0
hkl 3 1 0, 59.0°, rel. 9.6
hkl 2 1 5, 64.9°, rel. 13.2
hkl 2 1 -7, 65.7°, rel. 13.4

---

# 2
# BaDyFeCuO5
Theoretical XRD peak list, Cu Kα X-rays. Input: a structure optimized by DFT (PBE+U).
Kinematic intensities with the Lorentz-polarization factor, no thermal factor.

a b c (Å): 3.890 3.890 8.008
angles (deg): 90.00 90.00 90.00
Space group P4mm (No. 99)
Inequivalent atoms, fractional coordinates:
Ba 0.000 0.000 0.000 x1
Dy 0.000 0.000 0.462 x1
Fe 0.500 0.500 0.701 x1
Cu 0.500 0.500 0.255 x1
O 0.000 0.500 0.274 x2
O 0.000 0.500 0.629 x2
O 0.500 0.500 0.934 x1

Peak list (10 most intense, 2θ from 10° to 90°, sorted by position)
hkl 0 0 1, 11.0°, rel. 11.6
hkl 1 0 0, 22.9°, rel. 15.7
hkl 1 0 2, 32.1°, rel. 100.0
hkl 1 1 0, 32.6°, rel. 42.9
hkl 1 1 2, 39.8°, rel. 16.7
hkl 1 0 3, 41.0°, rel. 8.6
hkl 2 0 0, 46.7°, rel. 27.8
hkl 1 1 4, 56.9°, rel. 17.7
hkl 2 1 2, 57.8°, rel. 36.6
hkl 2 0 4, 67.1°, rel. 9.5